1.
Starting from a GGA-PBE-relaxed structure, the X-ray diffraction stick pattern of RhAu was simulated for Cu Kα (weighted mean of Kα1 and Kα2).
Intensities are scaled so that the largest is 100.

Most intense lines, 2θ from 10° to 80°, by intensity:
2θ = 39.01°, d = 2.309 Å, I = 100, hkl 1 0 4
2θ = 45.18°, d = 2.007 Å, I = 64, hkl 0 1 8
2θ = 38.43°, d = 2.342 Å, I = 32, hkl 0 0 12
2θ = 79.23°, d = 1.209 Å, I = 24, hkl 1 1 12
2θ = 66.21°, d = 1.412 Å, I = 21, hkl 1 1 0
2θ = 65.42°, d = 1.427 Å, I = 19, hkl 1 0 16
2θ = 79.60°, d = 1.204 Å, I = 13, hkl 0 2 4
2θ = 78.50°, d = 1.218 Å, I = 10, hkl 0 1 20
2θ = 28.58°, d = 3.123 Å, I = 10, hkl 0 0 9
2θ = 40.22°, d = 2.242 Å, I = 9, hkl 0 1 5

Structure:
```
data_RhAu
_chemical_formula_sum 'Rh6 Au6'
_symmetry_space_group_name_H-M 'R -3 m'
_symmetry_Int_Tables_number 166
_symmetry_space_group_name_Hall '-R 3 2"'
_cell_length_a 2.8231
_cell_length_b 2.8231
_cell_length_c 28.1085
_cell_angle_alpha 90.00
_cell_angle_beta 90.00
_cell_angle_gamma 120.00
loop_
_atom_site_label
_atom_site_type_symbol
_atom_site_fract_x
_atom_site_fract_y
_atom_site_fract_z
_atom_site_occupancy
Rh1 Rh 0.0000 0.0000 0.1294 1
Au1 Au 0.0000 0.0000 0.3786 1
```

***

2.
Starting from a GGA-PBE-relaxed structure, the X-ray diffraction stick pattern of Rh5Au3 was simulated for Cu Kα (weighted mean of Kα1 and Kα2).
Intensities are scaled so that the largest is 100.

Most intense lines, 2θ from 10° to 80°, by intensity:
2θ = 40.50°, d = 2.227 Å, I = 100, hkl 1 5 1
2θ = 39.79°, d = 2.265 Å, I = 67, hkl 2 2 -2
2θ = 39.38°, d = 2.288 Å, I = 35, hkl 0 6 1
2θ = 35.08°, d = 2.558 Å, I = 29, hkl 0 4 2
2θ = 47.97°, d = 1.897 Å, I = 26, hkl 1 7 0
2θ = 27.57°, d = 3.235 Å, I = 25, hkl 0 2 2
2θ = 67.17°, d = 1.394 Å, I = 22, hkl 3 3 -4
2θ = 43.70°, d = 2.071 Å, I = 21, hkl 2 0 1
2θ = 76.83°, d = 1.241 Å, I = 21, hkl 0 10 3
2θ = 68.92°, d = 1.362 Å, I = 17, hkl 2 8 1

Structure:
```
data_Rh5Au3
_chemical_formula_sum 'Rh20 Au12'
_symmetry_space_group_name_H-M 'C 1 2/m 1'
_symmetry_Int_Tables_number 12
_cell_length_a 5.0530
_cell_length_b 14.4625
_cell_length_c 7.6641
_cell_angle_alpha 90.00
_cell_angle_beta 109.19
_cell_angle_gamma 90.00
loop_
_symmetry_equiv_pos_as_xyz
'x,y,z'
'-x,-y,-z'
'-x,y,-z'
'x,-y,z'
'x+1/2,y+1/2,z'
'-x+1/2,-y+1/2,-z'
'-x+1/2,y+1/2,-z'
'x+1/2,-y+1/2,z'
loop_
_atom_site_label
_atom_site_type_symbol
_atom_site_fract_x
_atom_site_fract_y
_atom_site_fract_z
_atom_site_occupancy
Rh1 Rh 0.0917 0.1545 0.1842 1
Rh2 Rh 0.1541 0.4076 0.3094 1
Rh3 Rh 0.2497 0.0000 0.9998 1
Au1 Au 0.0000 0.2500 0.5000 1
Au2 Au 0.0000 0.3138 0.0000 1
Au3 Au 0.1850 0.0000 0.3724 1
```

***

3.
Starting from a GGA-PBE-relaxed structure, the X-ray diffraction stick pattern of RhAu2 was simulated for Cu Kα (weighted mean of Kα1 and Kα2).
Intensities are scaled so that the largest is 100.

Most intense lines, 2θ from 10° to 80°, by intensity:
2θ = 42.90°, d = 2.108 Å, I = 100, hkl 1 1 1
2θ = 38.22°, d = 2.355 Å, I = 72, hkl 2 0 0
2θ = 26.77°, d = 3.330 Å, I = 55, hkl 1 1 0
2θ = 72.31°, d = 1.307 Å, I = 42, hkl 3 1 1
2θ = 55.16°, d = 1.665 Å, I = 27, hkl 2 2 0
2θ = 51.29°, d = 1.781 Å, I = 20, hkl 2 0 1
2θ = 18.84°, d = 4.710 Å, I = 18, hkl 1 0 0
2θ = 32.89°, d = 2.723 Å, I = 16, hkl 0 0 1
2θ = 62.35°, d = 1.489 Å, I = 11, hkl 3 1 0
2θ = 65.73°, d = 1.421 Å, I = 9, hkl 2 2 1

Structure:
```
data_RhAu2
_chemical_formula_sum 'Rh1 Au2'
_symmetry_space_group_name_H-M 'P 4/m m m'
_symmetry_Int_Tables_number 123
_symmetry_space_group_name_Hall '-P 4 2'
_cell_length_a 4.7096
_cell_length_b 4.7096
_cell_length_c 2.7230
_cell_angle_alpha 90.00
_cell_angle_beta 90.00
_cell_angle_gamma 90.00
loop_
_atom_site_label
_atom_site_type_symbol
_atom_site_fract_x
_atom_site_fract_y
_atom_site_fract_z
_atom_site_occupancy
Rh1 Rh 0.0000 0.0000 0.0000 1
Au1 Au 0.0000 0.5000 0.5000 1
```

***

4.
Starting from a GGA-PBE-relaxed structure, the X-ray diffraction stick pattern of Rh5Au was simulated for Cu Kα (weighted mean of Kα1 and Kα2).
Intensities are scaled so that the largest is 100.

Most intense lines, 2θ from 10° to 80°, by intensity:
2θ = 42.91°, d = 2.108 Å, I = 100, hkl 1 1 3
2θ = 42.75°, d = 2.115 Å, I = 51, hkl 1 0 6
2θ = 40.02°, d = 2.253 Å, I = 41, hkl 2 0 0
2θ = 37.72°, d = 2.385 Å, I = 26, hkl 0 1 3
2θ = 74.68°, d = 1.271 Å, I = 19, hkl 3 1 3
2θ = 67.86°, d = 1.381 Å, I = 16, hkl 0 1 9
2θ = 56.16°, d = 1.638 Å, I = 16, hkl 2 1 3
2θ = 37.54°, d = 2.396 Å, I = 12, hkl 0 0 6
2θ = 74.57°, d = 1.273 Å, I = 10, hkl 3 0 6
2θ = 68.22°, d = 1.375 Å, I = 8, hkl 0 2 0

Structure:
```
data_Rh5Au
_chemical_formula_sum 'Rh10 Au2'
_symmetry_space_group_name_H-M 'A m m 2'
_symmetry_Int_Tables_number 38
_cell_length_a 4.5061
_cell_length_b 2.7495
_cell_length_c 14.3745
_cell_angle_alpha 90.00
_cell_angle_beta 90.00
_cell_angle_gamma 90.00
loop_
_symmetry_equiv_pos_as_xyz
'x,y,z'
'-x,-y,z'
'-x,y,z'
'x,-y,z'
'x,y+1/2,z+1/2'
'-x,-y+1/2,z+1/2'
'-x,y+1/2,z+1/2'
'x,-y+1/2,z+1/2'
loop_
_atom_site_label
_atom_site_type_symbol
_atom_site_fract_x
_atom_site_fract_y
_atom_site_fract_z
_atom_site_occupancy
Rh1 Rh 0.0000 0.0000 0.0000 1
Rh2 Rh 0.0000 0.0000 0.3265 1
Rh3 Rh 0.0000 0.0000 0.6641 1
Rh4 Rh 0.5000 0.0000 0.2152 1
Rh5 Rh 0.5000 0.0000 0.5567 1
Au1 Au 0.5000 0.0000 0.8869 1
```

***

5.
Starting from a GGA-PBE-relaxed structure, the X-ray diffraction stick pattern of RhAu was simulated for Cu Kα (weighted mean of Kα1 and Kα2).
Intensities are scaled so that the largest is 100.

Most intense lines, 2θ from 10° to 80°, by intensity:
2θ = 38.94°, d = 2.313 Å, I = 100, hkl 0 1 2
2θ = 45.28°, d = 2.003 Å, I = 49, hkl 1 0 4
2θ = 79.33°, d = 1.208 Å, I = 38, hkl 2 0 2
2θ = 65.96°, d = 1.416 Å, I = 32, hkl 1 1 0
2θ = 19.18°, d = 4.629 Å, I = 12, hkl 0 0 3
2θ = 37.23°, d = 2.415 Å, I = 8, hkl 1 0 1
2θ = 49.59°, d = 1.838 Å, I = 4, hkl 0 1 5
2θ = 69.42°, d = 1.354 Å, I = 3, hkl 1 1 3
2θ = 59.98°, d = 1.542 Å, I = 3, hkl 1 0 7
2θ = 78.28°, d = 1.221 Å, I = 1, hkl 0 2 1

Structure:
```
data_RhAu
_chemical_formula_sum 'Rh3 Au3'
_symmetry_space_group_name_H-M 'R -3 m'
_symmetry_Int_Tables_number 166
_symmetry_space_group_name_Hall '-R 3 2"'
_cell_length_a 2.8315
_cell_length_b 2.8315
_cell_length_c 13.8859
_cell_angle_alpha 90.00
_cell_angle_beta 90.00
_cell_angle_gamma 120.00
loop_
_atom_site_label
_atom_site_type_symbol
_atom_site_fract_x
_atom_site_fract_y
_atom_site_fract_z
_atom_site_occupancy
Rh1 Rh 0.0000 0.0000 0.0000 1
Au1 Au 0.0000 0.0000 0.5000 1
```

***

6.
Starting from a GGA-PBE-relaxed structure, the X-ray diffraction stick pattern of RhAu7 was simulated for Cu Kα (weighted mean of Kα1 and Kα2).
Intensities are scaled so that the largest is 100.

Most intense lines, 2θ from 10° to 80°, by intensity:
2θ = 37.82°, d = 2.379 Å, I = 100, hkl 2 2 2
2θ = 43.95°, d = 2.060 Å, I = 49, hkl 4 0 0
2θ = 76.71°, d = 1.242 Å, I = 39, hkl 6 2 2
2θ = 63.90°, d = 1.457 Å, I = 33, hkl 4 4 0
2θ = 18.65°, d = 4.758 Å, I = 2, hkl 1 1 1
2θ = 36.15°, d = 2.485 Å, I = 1, hkl 3 1 1
2θ = 21.57°, d = 4.120 Å, I = 1, hkl 2 0 0
2θ = 30.69°, d = 2.914 Å, I = 1, hkl 2 2 0
2θ = 48.13°, d = 1.891 Å, I = 1, hkl 3 3 1
2θ = 49.46°, d = 1.843 Å, I = 1, hkl 4 2 0

Structure:
```
data_RhAu7
_chemical_formula_sum 'Rh4 Au28'
_symmetry_space_group_name_H-M 'F m -3 m'
_symmetry_Int_Tables_number 225
_symmetry_space_group_name_Hall '-F 4 2 3'
_cell_length_a 8.2410
_cell_length_b 8.2410
_cell_length_c 8.2410
_cell_angle_alpha 90.00
_cell_angle_beta 90.00
_cell_angle_gamma 90.00
loop_
_atom_site_label
_atom_site_type_symbol
_atom_site_fract_x
_atom_site_fract_y
_atom_site_fract_z
_atom_site_occupancy
Rh1 Rh 0.0000 0.0000 0.0000 1
Au1 Au 0.0000 0.0000 0.5000 1
Au2 Au 0.0000 0.2500 0.2500 1
```

***

7.
Starting from a GGA-PBE-relaxed structure, the X-ray diffraction stick pattern of RhAu was simulated for Cu Kα (weighted mean of Kα1 and Kα2).
Intensities are scaled so that the largest is 100.

Most intense lines, 2θ from 10° to 80°, by intensity:
2θ = 39.52°, d = 2.280 Å, I = 100, hkl 3 0 1
2θ = 45.19°, d = 2.006 Å, I = 38, hkl 3 3 0
2θ = 79.60°, d = 1.204 Å, I = 25, hkl 6 3 1
2θ = 25.49°, d = 3.495 Å, I = 23, hkl 1 0 1
2θ = 67.61°, d = 1.386 Å, I = 20, hkl 3 3 2
2θ = 47.44°, d = 1.916 Å, I = 15, hkl 0 0 2
2θ = 33.29°, d = 2.691 Å, I = 12, hkl 3 1 0
2θ = 65.84°, d = 1.418 Å, I = 11, hkl 6 0 0
2θ = 59.42°, d = 1.556 Å, I = 8, hkl 4 3 1
2θ = 20.88°, d = 4.255 Å, I = 8, hkl 2 0 0

Structure:
```
data_RhAu
_chemical_formula_sum 'Rh8 Au8'
_symmetry_space_group_name_H-M 'I 4/m m m'
_symmetry_Int_Tables_number 139
_symmetry_space_group_name_Hall '-I 4 2'
_cell_length_a 8.5106
_cell_length_b 8.5106
_cell_length_c 3.8328
_cell_angle_alpha 90.00
_cell_angle_beta 90.00
_cell_angle_gamma 90.00
loop_
_atom_site_label
_atom_site_type_symbol
_atom_site_fract_x
_atom_site_fract_y
_atom_site_fract_z
_atom_site_occupancy
Rh1 Rh 0.0000 0.3458 0.0000 1
Au1 Au 0.1614 0.1614 0.5000 1
```

***

8.
Starting from a GGA-PBE-relaxed structure, the X-ray diffraction stick pattern of RhAu3 was simulated for Cu Kα (weighted mean of Kα1 and Kα2).
Intensities are scaled so that the largest is 100.

Most intense lines, 2θ from 10° to 80°, by intensity:
2θ = 40.82°, d = 2.210 Å, I = 100, hkl 1 2 2
2θ = 41.03°, d = 2.200 Å, I = 53, hkl 2 2 0
2θ = 37.64°, d = 2.389 Å, I = 52, hkl 0 4 0
2θ = 37.27°, d = 2.412 Å, I = 31, hkl 1 1 2
2θ = 77.68°, d = 1.229 Å, I = 28, hkl 3 4 2
2θ = 65.06°, d = 1.434 Å, I = 21, hkl 3 0 2
2θ = 70.10°, d = 1.342 Å, I = 20, hkl 1 6 2
2θ = 46.24°, d = 1.963 Å, I = 17, hkl 1 3 2
2θ = 77.25°, d = 1.235 Å, I = 16, hkl 0 4 4
2θ = 79.45°, d = 1.206 Å, I = 16, hkl 2 2 4

Structure:
```
data_RhAu3
_chemical_formula_sum 'Rh4 Au12'
_symmetry_space_group_name_H-M 'P n m a'
_symmetry_Int_Tables_number 62
_cell_length_a 4.9564
_cell_length_b 9.5578
_cell_length_c 5.7692
_cell_angle_alpha 90.00
_cell_angle_beta 90.00
_cell_angle_gamma 90.00
loop_
_symmetry_equiv_pos_as_xyz
'x,y,z'
'-x,-y,-z'
'-x+1/2,-y,z+1/2'
'x+1/2,y,-z+1/2'
'x+1/2,-y+1/2,-z+1/2'
'-x+1/2,y+1/2,z+1/2'
'-x,y+1/2,-z'
'x,-y+1/2,z'
loop_
_atom_site_label
_atom_site_type_symbol
_atom_site_fract_x
_atom_site_fract_y
_atom_site_fract_z
_atom_site_occupancy
Rh1 Rh 0.0815 0.2500 0.1411 1
Au1 Au 0.0783 0.2500 0.6254 1
Au2 Au 0.2439 0.5016 0.8764 1
```

***

9.
Starting from a GGA-PBE-relaxed structure, the X-ray diffraction stick pattern of URuRhAu was simulated for Cu Kα (weighted mean of Kα1 and Kα2).
Intensities are scaled so that the largest is 100.

Most intense lines, 2θ from 10° to 80°, by intensity:
2θ = 38.25°, d = 2.353 Å, I = 100, hkl 1 1 1
2θ = 41.61°, d = 2.170 Å, I = 20, hkl 0 0 2
2θ = 43.33°, d = 2.088 Å, I = 18, hkl 0 2 0
2θ = 73.70°, d = 1.285 Å, I = 15, hkl 1 1 3
2θ = 76.10°, d = 1.251 Å, I = 14, hkl 1 3 1
2θ = 48.22°, d = 1.887 Å, I = 13, hkl 2 0 0
2θ = 61.64°, d = 1.505 Å, I = 13, hkl 0 2 2
2θ = 29.68°, d = 3.010 Å, I = 11, hkl 0 1 1
2θ = 65.55°, d = 1.424 Å, I = 10, hkl 2 0 2
2θ = 66.81°, d = 1.400 Å, I = 10, hkl 2 2 0

Structure:
```
data_URuRhAu
_chemical_formula_sum 'U1 Ru1 Rh1 Au1'
_symmetry_space_group_name_H-M 'P m m m'
_symmetry_Int_Tables_number 47
_cell_length_a 3.7747
_cell_length_b 4.1763
_cell_length_c 4.3406
_cell_angle_alpha 90.00
_cell_angle_beta 90.00
_cell_angle_gamma 90.00
loop_
_symmetry_equiv_pos_as_xyz
'x,y,z'
'-x,-y,-z'
'-x,-y,z'
'x,y,-z'
'x,-y,-z'
'-x,y,z'
'-x,y,-z'
'x,-y,z'
loop_
_atom_site_label
_atom_site_type_symbol
_atom_site_fract_x
_atom_site_fract_y
_atom_site_fract_z
_atom_site_occupancy
U1 U 0.0000 0.0000 0.0000 1
Ru1 Ru 0.5000 0.5000 0.0000 1
Rh1 Rh 0.5000 0.0000 0.5000 1
Au1 Au 0.0000 0.5000 0.5000 1
```

***

10.
Starting from a GGA-PBE-relaxed structure, the X-ray diffraction stick pattern of Rh5AuS8 was simulated for Cu Kα (weighted mean of Kα1 and Kα2).
Intensities are scaled so that the largest is 100.

Most intense lines, 2θ from 10° to 80°, by intensity:
2θ = 29.65°, d = 3.013 Å, I = 100, hkl 3 1 1
2θ = 51.76°, d = 1.766 Å, I = 53, hkl 4 4 0
2θ = 47.27°, d = 1.923 Å, I = 44, hkl 5 1 1
2θ = 25.21°, d = 3.533 Å, I = 40, hkl 2 2 0
2θ = 72.69°, d = 1.301 Å, I = 21, hkl 5 5 3
2θ = 44.42°, d = 2.040 Å, I = 17, hkl 4 2 2
2θ = 60.79°, d = 1.524 Å, I = 13, hkl 5 3 3
2θ = 35.95°, d = 2.498 Å, I = 11, hkl 4 0 0
2θ = 70.53°, d = 1.335 Å, I = 10, hkl 6 4 2
2θ = 76.23°, d = 1.249 Å, I = 8, hkl 8 0 0

Structure:
```
data_Rh5AuS8
_chemical_formula_sum 'Rh20 Au4 S32'
_symmetry_space_group_name_H-M 'F -4 3 m'
_symmetry_Int_Tables_number 216
_symmetry_space_group_name_Hall 'F -4 2 3'
_cell_length_a 9.9917
_cell_length_b 9.9917
_cell_length_c 9.9917
_cell_angle_alpha 90.00
_cell_angle_beta 90.00
_cell_angle_gamma 90.00
loop_
_atom_site_label
_atom_site_type_symbol
_atom_site_fract_x
_atom_site_fract_y
_atom_site_fract_z
_atom_site_occupancy
Rh1 Rh 0.0000 0.0000 0.0000 1
Rh2 Rh 0.1249 0.1249 0.6249 1
Au1 Au 0.2500 0.2500 0.2500 1
S1 S 0.1103 0.1103 0.3897 1
S2 S 0.1339 0.1339 0.8661 1
```

***

11.
Starting from a GGA-PBE-relaxed structure, the X-ray diffraction stick pattern of YRhAu2S was simulated for Cu Kα (weighted mean of Kα1 and Kα2).
Intensities are scaled so that the largest is 100.

Most intense lines, 2θ from 10° to 80°, by intensity:
2θ = 33.07°, d = 2.709 Å, I = 100, hkl 1 1 1
2θ = 37.25°, d = 2.414 Å, I = 45, hkl 2 0 0
2θ = 64.53°, d = 1.444 Å, I = 29, hkl 3 1 1
2θ = 56.21°, d = 1.636 Å, I = 27, hkl 2 0 2
2θ = 40.52°, d = 2.226 Å, I = 18, hkl 0 0 2
2θ = 53.70°, d = 1.707 Å, I = 16, hkl 2 2 0
2θ = 69.38°, d = 1.354 Å, I = 15, hkl 2 2 2
2θ = 19.94°, d = 4.452 Å, I = 14, hkl 0 0 1
2θ = 69.00°, d = 1.361 Å, I = 12, hkl 1 1 3
2θ = 42.61°, d = 2.122 Å, I = 9, hkl 2 0 1

Structure:
```
data_YRhAu2S
_chemical_formula_sum 'Y1 Rh1 Au2 S1'
_symmetry_space_group_name_H-M 'P 4/m m m'
_symmetry_Int_Tables_number 123
_symmetry_space_group_name_Hall '-P 4 2'
_cell_length_a 4.8274
_cell_length_b 4.8274
_cell_length_c 4.4523
_cell_angle_alpha 90.00
_cell_angle_beta 90.00
_cell_angle_gamma 90.00
loop_
_atom_site_label
_atom_site_type_symbol
_atom_site_fract_x
_atom_site_fract_y
_atom_site_fract_z
_atom_site_occupancy
Y1 Y 0.0000 0.0000 0.0000 1
Rh1 Rh 0.5000 0.5000 0.0000 1
Au1 Au 0.0000 0.5000 0.5000 1
S1 S 0.5000 0.5000 0.5000 1
```

***

12.
Starting from a GGA-PBE-relaxed structure, the X-ray diffraction stick pattern of Sb4RhAu was simulated for Cu Kα (weighted mean of Kα1 and Kα2).
Intensities are scaled so that the largest is 100.

Most intense lines, 2θ from 10° to 80°, by intensity:
2θ = 30.30°, d = 2.950 Å, I = 100, hkl 1 0 2
2θ = 33.24°, d = 2.695 Å, I = 70, hkl 2 1 -1
2θ = 45.57°, d = 1.991 Å, I = 62, hkl 1 1 -3
2θ = 45.64°, d = 1.988 Å, I = 55, hkl 1 3 -1
2θ = 27.03°, d = 3.299 Å, I = 49, hkl 2 0 0
2θ = 51.88°, d = 1.762 Å, I = 30, hkl 2 3 1
2θ = 49.86°, d = 1.829 Å, I = 20, hkl 3 0 2
2θ = 38.64°, d = 2.330 Å, I = 19, hkl 0 2 2
2θ = 38.56°, d = 2.335 Å, I = 18, hkl 2 2 0
2θ = 23.35°, d = 3.810 Å, I = 18, hkl 1 1 -1

Structure:
```
data_Sb4RhAu
_chemical_formula_sum 'Sb8 Rh2 Au2'
_symmetry_space_group_name_H-M 'P 1 21/c 1'
_symmetry_Int_Tables_number 14
_cell_length_a 6.6088
_cell_length_b 6.5919
_cell_length_c 6.5922
_cell_angle_alpha 90.00
_cell_angle_beta 90.18
_cell_angle_gamma 90.00
loop_
_symmetry_equiv_pos_as_xyz
'x,y,z'
'-x,-y,-z'
'-x,y+1/2,-z+1/2'
'x,-y+1/2,z+1/2'
loop_
_atom_site_label
_atom_site_type_symbol
_atom_site_fract_x
_atom_site_fract_y
_atom_site_fract_z
_atom_site_occupancy
Sb1 Sb 0.1114 0.1316 0.1331 1
Sb2 Sb 0.3619 0.6197 0.1165 1
Rh1 Rh 0.0000 0.0000 0.5000 1
Au1 Au 0.5000 0.0000 0.0000 1
```

***

13.
Starting from a GGA-PBE-relaxed structure, the X-ray diffraction stick pattern of Sc2RhAu6 was simulated for Cu Kα (weighted mean of Kα1 and Kα2).
Intensities are scaled so that the largest is 100.

Most intense lines, 2θ from 10° to 80°, by intensity:
2θ = 37.24°, d = 2.415 Å, I = 100, hkl 3 1 -2
2θ = 38.01°, d = 2.368 Å, I = 95, hkl 3 1 1
2θ = 41.65°, d = 2.168 Å, I = 37, hkl 6 0 -1
2θ = 42.93°, d = 2.107 Å, I = 33, hkl 0 0 3
2θ = 46.47°, d = 1.954 Å, I = 27, hkl 0 2 0
2θ = 64.15°, d = 1.452 Å, I = 20, hkl 6 2 -1
2θ = 65.11°, d = 1.433 Å, I = 19, hkl 0 2 3
2θ = 14.53°, d = 6.095 Å, I = 19, hkl 2 0 0
2θ = 72.62°, d = 1.302 Å, I = 15, hkl 9 1 -3
2θ = 74.09°, d = 1.280 Å, I = 13, hkl 9 1 0

Structure:
```
data_Sc2RhAu6
_chemical_formula_sum 'Sc4 Rh2 Au12'
_symmetry_space_group_name_H-M 'C 1 2/m 1'
_symmetry_Int_Tables_number 12
_cell_length_a 13.0177
_cell_length_b 3.9083
_cell_length_c 6.7495
_cell_angle_alpha 90.00
_cell_angle_beta 110.55
_cell_angle_gamma 90.00
loop_
_symmetry_equiv_pos_as_xyz
'x,y,z'
'-x,-y,-z'
'-x,y,-z'
'x,-y,z'
'x+1/2,y+1/2,z'
'-x+1/2,-y+1/2,-z'
'-x+1/2,y+1/2,-z'
'x+1/2,-y+1/2,z'
loop_
_atom_site_label
_atom_site_type_symbol
_atom_site_fract_x
_atom_site_fract_y
_atom_site_fract_z
_atom_site_occupancy
Sc1 Sc 0.0557 0.0000 0.3038 1
Rh1 Rh 0.0000 0.5000 0.0000 1
Au1 Au 0.1032 0.5000 0.6627 1
Au2 Au 0.1652 0.0000 0.0029 1
Au3 Au 0.2235 0.5000 0.3360 1
```

***

14.
Starting from a GGA-PBE-relaxed structure, the X-ray diffraction stick pattern of Sc4Rh2Au was simulated for Cu Kα (weighted mean of Kα1 and Kα2).
Intensities are scaled so that the largest is 100.

Most intense lines, 2θ from 10° to 80°, by intensity:
2θ = 39.02°, d = 2.308 Å, I = 100, hkl 1 1 0
2θ = 39.46°, d = 2.283 Å, I = 94, hkl 0 1 8
2θ = 11.93°, d = 7.418 Å, I = 59, hkl 0 0 3
2θ = 22.60°, d = 3.935 Å, I = 42, hkl 1 0 1
2θ = 27.47°, d = 3.247 Å, I = 39, hkl 1 0 4
2θ = 70.98°, d = 1.328 Å, I = 32, hkl 1 2 8
2θ = 56.71°, d = 1.623 Å, I = 31, hkl 2 0 8
2θ = 30.04°, d = 2.974 Å, I = 25, hkl 0 1 5
2θ = 36.10°, d = 2.488 Å, I = 23, hkl 1 0 7
2θ = 40.95°, d = 2.204 Å, I = 19, hkl 1 1 3

Structure:
```
data_Sc4Rh2Au
_chemical_formula_sum 'Sc12 Rh6 Au3'
_symmetry_space_group_name_H-M 'R -3 m'
_symmetry_Int_Tables_number 166
_symmetry_space_group_name_Hall '-R 3 2"'
_cell_length_a 4.6165
_cell_length_b 4.6165
_cell_length_c 22.2547
_cell_angle_alpha 90.00
_cell_angle_beta 90.00
_cell_angle_gamma 120.00
loop_
_atom_site_label
_atom_site_type_symbol
_atom_site_fract_x
_atom_site_fract_y
_atom_site_fract_z
_atom_site_occupancy
Sc1 Sc 0.0000 0.0000 0.1183 1
Sc2 Sc 0.0000 0.0000 0.3702 1
Rh1 Rh 0.0000 0.0000 0.2477 1
Au1 Au 0.0000 0.0000 0.5000 1
```